Entry 1:
This entry pairs a crystal structure of Er3HgPb2 with its theoretical PXRD pattern. Radiation: Cu Kα (λ = 1.5418 Å). Structure: a PBE-relaxed structure.
Neutral-atom scattering factors, no anomalous dispersion.

Principal peaks in the range 5 to 70 degrees two-theta, in order of falling intensity:
| 2θ/deg | I/Imax | hkl |
| --- | --- | --- |
| 32.71 | 100 | 3 1 2 |
| 38.03 | 45 | 0 2 0 |
| 28.37 | 27 | 2 1 2 |
| 32.10 | 24 | 1 0 4 |
| 50.58 | 14 | 1 2 4 |
| 65.35 | 14 | 3 3 2 |
| 43.71 | 11 | 6 0 0 |
| 35.44 | 9 | 4 1 1 |

Structure:
Cell lengths 12.4266, 4.7340, 11.4472 Å; angles 90.00, 90.00, 90.00 degrees
Space group Pnma (No. 62)
Symmetry-distinct sites (fractional):
Er: 0.0299 0.2500 0.1265 (multiplicity 4)
Er: 0.1428 0.7500 0.5780 (multiplicity 4)
Er: 0.1977 0.2500 0.8184 (multiplicity 4)
Hg: 0.1633 0.2500 0.3400 (multiplicity 4)
Pb: 0.0072 0.7500 0.3349 (multiplicity 4)
Pb: 0.1785 0.7500 0.0405 (multiplicity 4)

Entry 2:
This entry pairs a crystal structure of ErHg4Pb with its theoretical PXRD pattern. Radiation: Cu Kα (λ = 1.5418 Å). Structure: a PBE-relaxed structure.
Neutral-atom scattering factors, no anomalous dispersion.

Principal peaks in the range 5 to 70 degrees two-theta, in order of falling intensity:
| 2θ/deg | I/Imax | hkl |
| --- | --- | --- |
| 35.11 | 100 | 3 1 0 |
| 33.54 | 47 | 2 0 -2 |
| 33.76 | 31 | 1 1 2 |
| 61.87 | 17 | 5 1 -2 |
| 49.25 | 16 | 2 2 -2 |
| 33.89 | 15 | 2 0 2 |
| 62.94 | 13 | 3 3 0 |
| 49.55 | 11 | 2 2 2 |

Structure:
Cell lengths 8.8383, 5.1201, 6.6638 Å; angles 90.00, 90.67, 90.00 degrees
Space group C2/m (No. 12)
Symmetry-distinct sites (fractional):
Er: 0.0000 0.0000 0.0000 (multiplicity 2)
Hg: 0.1663 0.5000 0.2309 (multiplicity 4)
Hg: 0.1673 0.5000 0.7684 (multiplicity 4)
Pb: 0.0000 0.0000 0.5000 (multiplicity 2)

Entry 3:
This entry pairs a crystal structure of PrErHgPb with its theoretical PXRD pattern. Radiation: Cu Kα (λ = 1.5418 Å). Structure: a PBE-relaxed structure.
Neutral-atom scattering factors, no anomalous dispersion.

Principal peaks in the range 5 to 70 degrees two-theta, in order of falling intensity:
| 2θ/deg | I/Imax | hkl |
| --- | --- | --- |
| 33.16 | 100 | 1 0 2 |
| 32.91 | 53 | 1 1 0 |
| 58.92 | 39 | 2 1 2 |
| 47.23 | 20 | 2 0 0 |
| 59.40 | 17 | 1 1 4 |
| 69.60 | 11 | 2 0 4 |
| 47.97 | 8 | 0 0 4 |
| 69.02 | 6 | 2 2 0 |

Structure:
Cell lengths 3.8489, 3.8489, 7.5853 Å; angles 90.00, 90.00, 90.00 degrees
Space group P4mm (No. 99)
Symmetry-distinct sites (fractional):
Pr: 0.0000 0.0000 0.0000 (multiplicity 1)
Er: 0.0000 0.0000 0.5189 (multiplicity 1)
Hg: 0.5000 0.5000 0.7352 (multiplicity 1)
Pb: 0.5000 0.5000 0.2722 (multiplicity 1)

Entry 4:
This entry pairs a crystal structure of Er6HgPd5 with its theoretical PXRD pattern. Radiation: Cu Kα (λ = 1.5418 Å). Structure: a PBE-relaxed structure.
Neutral-atom scattering factors, no anomalous dispersion.

Principal peaks in the range 5 to 70 degrees two-theta, in order of falling intensity:
| 2θ/deg | I/Imax | hkl |
| --- | --- | --- |
| 36.12 | 100 | 2 0 -1 |
| 36.27 | 20 | 0 0 3 |
| 64.85 | 14 | 2 4 -1 |
| 65.07 | 14 | 3 2 -3 |
| 64.93 | 7 | 3 2 0 |
| 51.81 | 7 | 0 4 0 |
| 65.20 | 7 | 1 2 -5 |
| 52.05 | 7 | 2 0 2 |

Structure:
Cell lengths 4.9680, 7.0580, 7.8263 Å; angles 90.00, 108.31, 90.00 degrees
Space group P2/m (No. 10)
Symmetry-distinct sites (fractional):
Er: 0.0000 0.2407 0.0000 (multiplicity 2)
Er: 0.3295 0.2463 0.6596 (multiplicity 4)
Hg: 0.5000 0.5000 0.0000 (multiplicity 1)
Pd: 0.1665 0.0000 0.3306 (multiplicity 2)
Pd: 0.1656 0.5000 0.3324 (multiplicity 2)
Pd: 0.5000 0.0000 0.0000 (multiplicity 1)

Entry 5:
This entry pairs a crystal structure of Er3HgPd6 with its theoretical PXRD pattern. Radiation: Cu Kα (λ = 1.5418 Å). Structure: a PBE-relaxed structure.
Neutral-atom scattering factors, no anomalous dispersion.

Principal peaks in the range 5 to 70 degrees two-theta, in order of falling intensity:
| 2θ/deg | I/Imax | hkl |
| --- | --- | --- |
| 38.33 | 100 | 0 6 1 |
| 35.74 | 76 | 3 3 1 |
| 32.21 | 71 | 3 1 1 |
| 40.76 | 66 | 0 0 2 |
| 36.53 | 38 | 3 5 0 |
| 29.48 | 38 | 0 4 1 |
| 44.57 | 30 | 4 4 1 |
| 42.03 | 26 | 3 5 1 |

Structure:
Cell lengths 10.9686, 16.6195, 4.4271 Å; angles 90.00, 90.00, 90.00 degrees
Space group Cmcm (No. 63)
Symmetry-distinct sites (fractional):
Er: 0.0000 0.0892 0.2500 (multiplicity 4)
Er: 0.1695 0.3961 0.7500 (multiplicity 8)
Hg: 0.0000 0.2894 0.2500 (multiplicity 4)
Pd: 0.0000 0.1886 0.7500 (multiplicity 4)
Pd: 0.0000 0.4543 0.2500 (multiplicity 4)
Pd: 0.1696 0.0498 0.7500 (multiplicity 8)
Pd: 0.2427 0.2045 0.7500 (multiplicity 8)

Entry 6:
This entry pairs a crystal structure of Er2Hg3Pd with its theoretical PXRD pattern. Radiation: Cu Kα (λ = 1.5418 Å). Structure: a PBE-relaxed structure.
Neutral-atom scattering factors, no anomalous dispersion.

Principal peaks in the range 5 to 70 degrees two-theta, in order of falling intensity:
| 2θ/deg | I/Imax | hkl |
| --- | --- | --- |
| 33.98 | 100 | 1 1 1 |
| 37.12 | 81 | 0 1 3 |
| 33.88 | 45 | 1 0 2 |
| 37.40 | 44 | 0 2 0 |
| 67.24 | 43 | 2 1 3 |
| 51.34 | 28 | 1 2 2 |
| 45.98 | 17 | 1 1 3 |
| 67.40 | 16 | 2 2 0 |

Structure:
Cell lengths 3.4047, 4.8095, 8.4108 Å; angles 90.00, 90.00, 90.00 degrees
Space group Pmm2 (No. 25)
Symmetry-distinct sites (fractional):
Er: 0.0000 0.0000 0.0000 (multiplicity 1)
Er: 0.0000 0.5000 0.4412 (multiplicity 1)
Hg: 0.5000 0.0000 0.6210 (multiplicity 1)
Hg: 0.5000 0.5000 0.1330 (multiplicity 1)
Hg: 0.5000 0.5000 0.7963 (multiplicity 1)
Pd: 0.5000 0.0000 0.2943 (multiplicity 1)

Entry 7:
This entry pairs a crystal structure of ErHg3Pd4 with its theoretical PXRD pattern. Radiation: Cu Kα (λ = 1.5418 Å). Structure: a PBE-relaxed structure.
Neutral-atom scattering factors, no anomalous dispersion.

Principal peaks in the range 5 to 70 degrees two-theta, in order of falling intensity:
| 2θ/deg | I/Imax | hkl |
| --- | --- | --- |
| 37.74 | 100 | 1 1 2 |
| 39.00 | 46 | 2 0 0 |
| 69.82 | 33 | 3 1 2 |
| 67.30 | 18 | 2 0 4 |
| 56.34 | 16 | 2 2 0 |
| 52.50 | 10 | 0 0 4 |
| 27.31 | 9 | 1 1 0 |
| 25.55 | 5 | 0 0 2 |

Structure:
Cell lengths 4.6187, 4.6187, 6.9723 Å; angles 90.00, 90.00, 90.00 degrees
Space group P4/mmm (No. 123)
Symmetry-distinct sites (fractional):
Er: 0.0000 0.0000 0.0000 (multiplicity 1)
Hg: 0.0000 0.0000 0.5000 (multiplicity 1)
Hg: 0.5000 0.5000 0.0000 (multiplicity 1)
Hg: 0.5000 0.5000 0.5000 (multiplicity 1)
Pd: 0.0000 0.5000 0.2514 (multiplicity 4)

Entry 8:
This entry pairs a crystal structure of Er3Hg2Pd2 with its theoretical PXRD pattern. Radiation: Cu Kα (λ = 1.5418 Å). Structure: a PBE-relaxed structure.
Neutral-atom scattering factors, no anomalous dispersion.

Principal peaks in the range 5 to 70 degrees two-theta, in order of falling intensity:
| 2θ/deg | I/Imax | hkl |
| --- | --- | --- |
| 33.76 | 100 | 1 1 1 |
| 34.36 | 70 | 0 6 1 |
| 36.22 | 64 | 1 7 0 |
| 58.86 | 30 | 2 6 1 |
| 63.25 | 30 | 1 7 2 |
| 46.24 | 24 | 2 0 0 |
| 30.27 | 23 | 1 5 0 |
| 49.96 | 19 | 0 0 2 |

Structure:
Cell lengths 3.9267, 22.3946, 3.6509 Å; angles 90.00, 90.00, 90.00 degrees
Space group Cmmm (No. 65)
Symmetry-distinct sites (fractional):
Er: 0.0000 0.0000 0.0000 (multiplicity 2)
Er: 0.0000 0.1670 0.0000 (multiplicity 4)
Hg: 0.0000 0.4212 0.5000 (multiplicity 4)
Pd: 0.0000 0.2910 0.5000 (multiplicity 4)

Entry 9:
This entry pairs a crystal structure of Er11Hg9Pd4 with its theoretical PXRD pattern. Radiation: Cu Kα (λ = 1.5418 Å). Structure: a PBE-relaxed structure.
Neutral-atom scattering factors, no anomalous dispersion.

Principal peaks in the range 5 to 70 degrees two-theta, in order of falling intensity:
| 2θ/deg | I/Imax | hkl |
| --- | --- | --- |
| 35.17 | 100 | 4 0 1 |
| 35.04 | 50 | 0 6 1 |
| 62.94 | 26 | 4 6 2 |
| 50.39 | 21 | 0 0 2 |
| 32.79 | 10 | 1 5 1 |
| 33.38 | 9 | 3 3 1 |
| 32.20 | 8 | 2 4 1 |
| 31.21 | 8 | 3 1 1 |

Structure:
Cell lengths 14.3828, 21.7126, 3.6235 Å; angles 90.00, 90.00, 90.00 degrees
Space group Cmmm (No. 65)
Symmetry-distinct sites (fractional):
Er: 0.0000 0.0000 0.0000 (multiplicity 2)
Er: 0.0000 0.1663 0.0000 (multiplicity 4)
Er: 0.0000 0.3688 0.0000 (multiplicity 4)
Er: 0.2024 0.5000 0.0000 (multiplicity 4)
Er: 0.2440 0.1697 0.0000 (multiplicity 8)
Hg: 0.0000 0.5000 0.5000 (multiplicity 2)
Hg: 0.1091 0.2605 0.5000 (multiplicity 8)
Hg: 0.1384 0.0752 0.5000 (multiplicity 8)
Pd: 0.1498 0.4011 0.5000 (multiplicity 8)

Entry 10:
This entry pairs a crystal structure of Er4HgPd2Pt with its theoretical PXRD pattern. Radiation: Cu Kα (λ = 1.5418 Å). Structure: a PBE-relaxed structure.
Neutral-atom scattering factors, no anomalous dispersion.

Principal peaks in the range 5 to 70 degrees two-theta, in order of falling intensity:
| 2θ/deg | I/Imax | hkl |
| --- | --- | --- |
| 36.02 | 100 | 1 1 0 |
| 64.72 | 27 | 3 0 0 |
| 51.86 | 17 | 2 0 8 |
| 64.89 | 8 | 1 0 16 |
| 21.83 | 4 | 0 1 2 |
| 42.50 | 2 | 2 0 2 |
| 68.97 | 1 | 1 1 15 |
| 33.04 | 1 | 0 0 9 |

Structure:
Cell lengths 4.9918, 4.9918, 24.3770 Å; angles 90.00, 90.00, 120.00 degrees
Space group R-3m (No. 166, hexagonal axes)
Symmetry-distinct sites (fractional):
Er: 0.0000 0.0000 0.1195 (multiplicity 6)
Er: 0.0000 0.0000 0.3702 (multiplicity 6)
Hg: 0.0000 0.0000 0.5000 (multiplicity 3)
Pd: 0.0000 0.0000 0.2457 (multiplicity 6)
Pt: 0.0000 0.0000 0.0000 (multiplicity 3)

Entry 11:
This entry pairs a crystal structure of Pm2ErHg5 with its theoretical PXRD pattern. Radiation: Cu Kα (λ = 1.5418 Å). Structure: a PBE-relaxed structure.
Neutral-atom scattering factors, no anomalous dispersion.

Principal peaks in the range 5 to 70 degrees two-theta, in order of falling intensity:
| 2θ/deg | I/Imax | hkl |
| --- | --- | --- |
| 34.07 | 100 | 1 1 4 |
| 34.46 | 52 | 2 0 0 |
| 61.48 | 37 | 3 1 4 |
| 49.53 | 19 | 2 2 0 |
| 60.74 | 17 | 2 0 8 |
| 48.37 | 8 | 0 0 8 |
| 11.76 | 3 | 0 0 2 |
| 43.66 | 2 | 1 1 6 |

Structure:
Cell lengths 5.2054, 5.2054, 15.0533 Å; angles 90.00, 90.00, 90.00 degrees
Space group I4/mmm (No. 139)
Symmetry-distinct sites (fractional):
Pm: 0.0000 0.0000 0.2366 (multiplicity 4)
Er: 0.0000 0.0000 0.5000 (multiplicity 2)
Hg: 0.0000 0.0000 0.0000 (multiplicity 2)
Hg: 0.0000 0.5000 0.1182 (multiplicity 8)

Entry 12:
This entry pairs a crystal structure of Pm5ErHg6 with its theoretical PXRD pattern. Radiation: Cu Kα (λ = 1.5418 Å). Structure: a PBE-relaxed structure.
Neutral-atom scattering factors, no anomalous dispersion.

Principal peaks in the range 5 to 70 degrees two-theta, in order of falling intensity:
| 2θ/deg | I/Imax | hkl |
| --- | --- | --- |
| 33.38 | 100 | 1 3 2 |
| 33.55 | 20 | 2 0 0 |
| 59.53 | 15 | 2 0 4 |
| 59.87 | 15 | 3 3 2 |
| 59.73 | 15 | 1 9 2 |
| 48.10 | 14 | 2 6 0 |
| 47.69 | 7 | 0 0 4 |
| 23.52 | 2 | 1 3 0 |

Structure:
Cell lengths 5.3420, 16.0745, 7.6283 Å; angles 90.00, 90.00, 90.00 degrees
Space group Cmmm (No. 65)
Symmetry-distinct sites (fractional):
Pm: 0.0000 0.0000 0.0000 (multiplicity 2)
Pm: 0.0000 0.3311 0.0000 (multiplicity 4)
Pm: 0.0000 0.3336 0.5000 (multiplicity 4)
Er: 0.0000 0.0000 0.5000 (multiplicity 2)
Hg: 0.0000 0.1626 0.2550 (multiplicity 8)
Hg: 0.0000 0.5000 0.2580 (multiplicity 4)

Entry 13:
This entry pairs a crystal structure of PmEr3Hg12 with its theoretical PXRD pattern. Radiation: Cu Kα (λ = 1.5418 Å). Structure: a PBE-relaxed structure.
Neutral-atom scattering factors, no anomalous dispersion.

Principal peaks in the range 5 to 70 degrees two-theta, in order of falling intensity:
| 2θ/deg | I/Imax | hkl |
| --- | --- | --- |
| 33.68 | 100 | 1 1 4 |
| 39.90 | 32 | 2 0 0 |
| 68.51 | 26 | 3 1 4 |
| 55.85 | 24 | 2 0 8 |
| 37.41 | 19 | 0 0 8 |
| 65.12 | 15 | 1 1 12 |
| 57.71 | 11 | 2 2 0 |

Structure:
Cell lengths 4.5185, 4.5185, 19.2295 Å; angles 90.00, 90.00, 90.00 degrees
Space group P4/mmm (No. 123)
Symmetry-distinct sites (fractional):
Pm: 0.0000 0.0000 0.0000 (multiplicity 1)
Er: 0.0000 0.0000 0.2526 (multiplicity 2)
Er: 0.0000 0.0000 0.5000 (multiplicity 1)
Hg: 0.0000 0.5000 0.1285 (multiplicity 4)
Hg: 0.0000 0.5000 0.3760 (multiplicity 4)
Hg: 0.5000 0.5000 0.0000 (multiplicity 1)
Hg: 0.5000 0.5000 0.2522 (multiplicity 2)
Hg: 0.5000 0.5000 0.5000 (multiplicity 1)